Calculated powder XRD pattern
Compound: ErTh2TiN5
Radiation: Cu Kα X-rays
Structure: DFT lattice parameters and positions (PBE)
Neutral-atom scattering factors, no anomalous dispersion.

Cell and atoms:
abc: 3.508 13.941 10.581
angles: 90.00 90.00 90.00
Space group Cmc2_1 (No. 36)
One atom of each set of equivalent atoms:
1 Er 0.000 0.212 0.000 (multiplicity 4)
2 Th 0.000 0.117 0.700 (multiplicity 4)
3 Th 0.000 0.138 0.283 (multiplicity 4)
4 Ti 0.000 0.488 0.479 (multiplicity 4)
5 N 0.000 0.046 0.053 (multiplicity 4)
6 N 0.000 0.287 0.662 (multiplicity 4)
7 N 0.000 0.307 0.357 (multiplicity 4)
8 N 0.000 0.377 0.026 (multiplicity 4)
9 N 0.000 0.491 0.797 (multiplicity 4)

Peak list (10 most intense, 2θ = 5–70°, in order of falling intensity)
two_theta  Rel. int.
30.72  100.0
36.70  89.6
31.96  77.7
28.36  71.3
31.26  56.6
26.19  49.1
44.92  42.5
55.86  37.7
33.89  29.6
54.34  29.1